Entry 1:
# CaAl2Cl8
Simulated powder diffraction line list, Cu Ka. Input: a DFT-relaxed cell (PBE, the Materials Project).
No peak broadening, texture or thermal motion is included.

Structure:
```
CaAl2Cl8
1.0
-5.8353 5.8353 9.9578
5.8353 -5.8353 9.9578
5.8353 5.8353 -9.9578
Ca Al Cl
4 8 32
Cartesian
5.8353 -2.9177 7.4683
5.8353 2.9177 2.4894
0.0000 2.9177 7.4683
0.0000 8.7530 2.4894
2.9177 2.6180 0.0000
0.2996 0.0000 4.9789
6.1349 0.0000 4.9789
2.9177 -2.6180 9.9578
2.9177 8.4533 0.0000
-0.2996 5.8353 4.9789
5.5357 5.8353 4.9789
2.9177 3.2173 9.9578
9.1056 1.9692 -1.7446
7.2840 -1.8112 4.8732
7.2840 4.0241 -4.8732
4.7288 1.4690 -0.1057
1.1065 1.4690 0.1057
4.8869 5.4827 -6.7235
4.8869 0.3526 3.2343
2.5650 3.8661 -1.7446
8.4003 1.9692 1.7446
4.8869 -0.3526 6.7235
4.8869 6.1879 -3.2343
6.9418 4.3664 -0.1057
4.7288 -1.4690 10.0635
1.4487 1.8112 4.8732
7.2840 1.8112 5.0846
3.2703 3.8661 1.7446
2.5650 1.9692 8.2132
-1.4487 4.0241 4.8732
4.3866 4.0241 5.0846
1.1065 7.3043 -0.1057
-1.1065 1.4690 10.0635
0.9484 -0.3526 13.1921
0.9484 6.1879 3.2343
-2.5650 3.8661 8.2132
3.2703 1.9692 11.7024
0.9484 5.4827 6.7235
0.9484 0.3526 16.6813
4.7288 4.3664 9.8521
1.1065 4.3664 10.0635
-1.4487 1.8112 14.8310
-1.4487 7.6465 5.0846
-3.2703 3.8661 11.7024
```

Principal peaks in the range 2θ from 10° to 80°, most intense first:
2θ = 27.93°, I = 100.0
2θ = 28.17°, I = 98.8
2θ = 13.94°, I = 64.3
2θ = 17.62°, I = 62.5
2θ = 38.99°, I = 37.2
2θ = 35.68°, I = 29.6
2θ = 35.95°, I = 26.3
2θ = 54.52°, I = 22.4
2θ = 21.54°, I = 21.3
2θ = 31.95°, I = 19.7
2θ = 34.40°, I = 17.5
2θ = 21.66°, I = 17.4

---

Entry 2:
# Na3CaAl4Si8ClO24
Simulated powder diffraction line list, Cu Ka. Input: a DFT-relaxed cell (PBE, the Materials Project).
No peak broadening, texture or thermal motion is included.

Structure:
```
Na3CaAl4Si8ClO24
1.0
7.6943 0.0000 0.0000
3.7888 8.6219 0.0000
3.8460 0.0139 8.6180
Na Ca Al Si Cl O
3 1 4 8 1 24
Cartesian
0.0000 0.0000 0.0000
3.8651 2.2684 4.9267
7.7535 4.8659 6.3263
7.7371 7.1832 2.5764
5.4931 2.9162 7.8164
5.4938 5.6704 0.6737
5.4977 1.4930 1.9957
9.3473 4.2384 3.4206
2.3041 1.4058 1.9786
6.1625 4.2813 3.5179
7.7761 1.4447 6.2411
11.6280 7.2785 7.7955
10.0216 2.8948 7.7786
11.5538 8.5013 3.4761
11.6101 5.7165 5.0306
10.0317 5.7500 0.6269
7.7471 7.7809 5.2739
1.4289 0.1104 2.5565
6.0897 4.5073 8.2385
1.7141 1.7346 0.5109
3.8627 6.3107 0.6666
5.2978 4.8509 4.8082
6.4782 2.3664 6.4768
3.8476 0.8259 1.9820
6.1101 5.3798 2.3001
5.5298 2.8492 3.0999
6.5709 6.9969 0.2254
9.4114 4.3502 8.1731
7.7045 4.2511 4.0304
7.8049 0.1753 7.2615
6.1046 1.8302 0.4003
9.1339 2.3356 6.4929
6.4268 0.1051 2.5818
7.8227 0.9308 4.7064
11.6114 6.2264 6.5697
9.1641 7.0636 0.0659
9.3674 5.4423 2.0998
10.3375 4.7691 4.7588
11.6169 6.9775 4.0074
11.5440 2.9187 7.2106
9.9461 2.6623 2.9925
```

Principal peaks in the range 2θ from 10° to 80°, most intense first:
2θ = 25.33°, I = 100.0
2θ = 28.82°, I = 81.1
2θ = 23.07°, I = 60.9
2θ = 29.31°, I = 44.3
2θ = 32.83°, I = 39.1
2θ = 25.42°, I = 36.8
2θ = 47.23°, I = 29.3
2θ = 28.92°, I = 26.7
2θ = 13.61°, I = 24.3
2θ = 14.53°, I = 18.9
2θ = 46.77°, I = 18.6
2θ = 10.26°, I = 16.0